For K5Na3Nb5W3O24, a DFT-relaxed cell (PBE+U, Alexandria) gives the simulated XRD peak list in this record (Cu Kα (weighted mean of Kα1 and Kα2)).
Intensities are scaled so that the largest is 100.

```
data_K5Na3Nb5W3O24
_chemical_formula_sum 'K5 Na3 Nb5 W3 O24'
_space_group_name_H-M_alt 'P 1'
_space_group_IT_number 1
_cell_length_a 8.052
_cell_length_b 8.083
_cell_length_c 8.084
_cell_angle_alpha 89.99
_cell_angle_beta 89.95
_cell_angle_gamma 89.92
loop_
_space_group_symop_operation_xyz
'x,y,z'
loop_
_atom_site_label
_atom_site_type_symbol
_atom_site_fract_x
_atom_site_fract_y
_atom_site_fract_z
K1 K 0.000 0.000 0.000
K2 K 0.000 0.002 0.499
K3 K 0.001 0.503 0.001
K4 K 0.499 0.000 0.001
K5 K 0.500 0.002 0.498
Na1 Na 0.003 0.506 0.511
Na2 Na 0.503 0.506 0.512
Na3 Na 0.503 0.508 0.024
Nb1 Nb 0.256 0.749 0.257
Nb2 Nb 0.747 0.246 0.757
Nb3 Nb 0.748 0.264 0.259
Nb4 Nb 0.748 0.741 0.755
Nb5 Nb 0.756 0.759 0.257
W1 W 0.249 0.252 0.246
W2 W 0.249 0.253 0.745
W3 W 0.250 0.750 0.752
O1 O 0.007 0.253 0.744
O2 O 0.249 0.254 0.488
O3 O 0.249 0.502 0.738
O4 O 0.249 0.749 0.500
O5 O 0.249 0.997 0.246
O6 O 0.250 0.002 0.746
O7 O 0.251 0.255 0.003
O8 O 0.251 0.505 0.247
O9 O 0.251 0.747 0.988
O10 O 0.492 0.256 0.743
O11 O 0.498 0.747 0.242
O12 O 0.501 0.255 0.244
O13 O 0.501 0.746 0.739
O14 O 0.744 0.502 0.240
O15 O 0.745 0.747 0.991
O16 O 0.747 0.255 0.990
O17 O 0.747 0.747 0.492
O18 O 0.748 0.006 0.742
O19 O 0.748 0.257 0.495
O20 O 0.748 0.999 0.243
O21 O 0.750 0.499 0.736
O22 O 0.996 0.254 0.246
O23 O 0.997 0.748 0.740
O24 O 0.998 0.748 0.244
```

Main lines, low angle first (2θ from 10° to 90°):
10.98°, rel. 10; 22.02°, rel. 70; 24.65°, rel. 8; 31.34°, rel. 100; 44.85°, rel. 25; 45.04°, rel. 12; 50.51°, rel. 19; 50.66°, rel. 10; 55.75°, rel. 26; 55.87°, rel. 13; 65.42°, rel. 11; 74.21°, rel. 11